This entry pairs a crystal structure of NaCoPO4 with its simulated powder XRD pattern. Radiation: Cu Kα. Structure: a DFT-relaxed cell (GGA+U, Alexandria).

Structural model:
a = 8.9713 Å, b = 6.8672 Å, c = 5.0782 Å
α = 90.00°, β = 90.00°, γ = 90.00°
Space group Pnma (No. 62)
Inequivalent atoms, fractional coordinates:
Na 0.1489 0.2500 0.0331 (multiplicity 4)
Co 0.0000 0.0000 0.5000 (multiplicity 4)
P 0.1765 0.7500 0.0389 (multiplicity 4)
O 0.1165 0.7500 0.7507 (multiplicity 4)
O 0.1220 0.5656 0.1843 (multiplicity 8)
O 0.1476 0.2500 0.5502 (multiplicity 4)

Largest 12 diffraction maxima, sorted by position, 2θ = 15–90°:
two_theta, I_rel, (hkl)
20.09, 37.6, 1 0 1
23.95, 29.3, 1 1 1
32.85, 79.3, 2 2 0
33.04, 100.0, 1 2 1
34.82, 93.5, 3 0 1
35.35, 28.2, 0 0 2
48.48, 28.2, 4 2 0
49.02, 45.6, 2 2 2
61.06, 22.7, 5 2 1
61.41, 25.4, 4 2 2
62.01, 30.7, 6 0 0
65.31, 23.0, 3 4 1